# 1
Diffraction record for TaTi4N4. The powder X-ray diffraction pattern is simulated, not measured: it uses a structure optimized by DFT (PBE) and Cu Kα (λ = 1.5418 Å).

Structure:
abc: 6.7179 6.7179 4.3057
angles: 90.00 90.00 90.00
Space group I4/m (No. 87)
One atom of each set of equivalent atoms:
Ta 0.0000 0.0000 0.0000 (multiplicity 2)
Ti 0.1020 0.6923 0.5000 (multiplicity 8)
N 0.1013 0.6975 0.0000 (multiplicity 8)

Largest 10 diffraction maxima, most intense first, 10° ≤ 2θ ≤ 80°:
- hkl 1 2 1, 36.5°, I 100
- hkl 3 1 0, 42.6°, I 53
- hkl 1 0 1, 24.6°, I 52
- hkl 3 1 2, 61.3°, I 33
- hkl 0 0 2, 42.0°, I 25
- hkl 1 1 0, 18.7°, I 25
- hkl 5 0 1, 73.9°, I 24
- hkl 2 4 0, 61.8°, I 15
- hkl 2 4 2, 77.5°, I 15
- hkl 2 0 0, 26.5°, I 14

=====

# 2
Diffraction record for Ta2Ti2N3. The powder X-ray diffraction pattern is simulated, not measured: it uses a structure optimized by DFT (PBE) and Cu Kα (λ = 1.5418 Å).

Structure:
abc: 3.0286 5.2586 5.2814
angles: 99.00 106.56 90.00
Space group P-1 (No. 2)
One atom of each set of equivalent atoms:
Ta 0.1218 0.3717 0.2419 (multiplicity 2)
Ti 0.3720 0.1208 0.7434 (multiplicity 2)
N 0.0000 0.0000 0.0000 (multiplicity 1)
N 0.2501 0.7545 0.5013 (multiplicity 2)

Largest 10 diffraction maxima, most intense first, 10° ≤ 2θ ≤ 80°:
- hkl 1 1 0, 36.2°, I 100
- hkl 1 1 -2, 42.1°, I 92
- hkl 0 0 2, 36.0°, I 51
- hkl 0 2 -1, 36.3°, I 50
- hkl 0 2 1, 41.8°, I 47
- hkl 0 1 0, 17.1°, I 46
- hkl 1 3 -1, 61.1°, I 44
- hkl 1 0 -1, 30.9°, I 38
- hkl 0 1 -1, 22.6°, I 35
- hkl 2 2 -2, 73.3°, I 27